Record 1
Diffraction record for ZnAg3. The X-ray diffraction stick pattern is simulated, not measured: it uses a cell relaxed with GGA-PBE and a wavelength of 1.5418 Å.

Principal peaks in the range 10 to 90 degrees two-theta, by intensity:
Position (°2θ)  Rel. int.
38.1  100
44.4  32
77.6  23
64.4  20
44.2  16
77.2  12
81.6  10
64.6  10

Structural model:
a b c (Å): 5.014 5.014 5.014
angles (deg): 131.99 131.99 70.25
Element x y z (fractional)
1 Zn 0.000 0.000 0.000
2 Ag 0.250 0.750 0.500
3 Ag 0.500 0.500 0.000
4 Ag 0.750 0.250 0.500

***

Record 2
Diffraction record for ZnAg4. The X-ray diffraction stick pattern is simulated, not measured: it uses a cell relaxed with GGA-PBE and a wavelength of 1.5418 Å.

Principal peaks in the range 10 to 90 degrees two-theta, by intensity:
Position (°2θ)  Rel. int.
37.5  100
44.1  61
39.1  28
76.7  21
63.0  20
65.2  17
75.7  12
80.1  10

Structural model:
a b c (Å): 11.648 11.648 11.648
angles (deg): 14.56 14.56 14.56
Element x y z (fractional)
1 Zn 0.000 0.000 0.000
2 Ag 0.201 0.201 0.201
3 Ag 0.396 0.396 0.396
4 Ag 0.604 0.604 0.604
5 Ag 0.799 0.799 0.799

***

Record 3
Diffraction record for ZnAg. The X-ray diffraction stick pattern is simulated, not measured: it uses a cell relaxed with GGA-PBE and a wavelength of 1.5418 Å.

Principal peaks in the range 10 to 90 degrees two-theta, by intensity:
Position (°2θ)  Rel. int.
38.8  100
44.3  17
45.0  16
46.1  15
77.9  12
78.8  11
80.5  11
65.0  10

Structural model:
a b c (Å): 2.870 2.870 3.937
angles (deg): 90.00 90.00 90.79
Element x y z (fractional)
1 Zn 0.000 0.000 0.000
2 Ag 0.500 0.500 0.500

***

Record 4
Diffraction record for Zn22Ag. The X-ray diffraction stick pattern is simulated, not measured: it uses a cell relaxed with GGA-PBE and a wavelength of 1.5418 Å.

Principal peaks in the range 10 to 90 degrees two-theta, by intensity:
Position (°2θ)  Rel. int.
37.5  100
42.2  91
41.7  87
40.2  52
75.8  51
45.6  27
44.2  25
68.7  23

Structural model:
a b c (Å): 10.040 10.040 10.040
angles (deg): 60.00 60.00 60.00
Element x y z (fractional)
1 Zn 0.000 0.000 0.000
2 Zn 0.000 0.000 0.500
3 Zn 0.000 0.500 0.000
4 Zn 0.000 0.500 0.500
5 Zn 0.015 0.015 0.735
6 Zn 0.015 0.735 0.015
7 Zn 0.015 0.735 0.735
8 Zn 0.180 0.180 0.443
9 Zn 0.180 0.180 0.697
10 Zn 0.180 0.443 0.180
11 Zn 0.180 0.443 0.697
12 Zn 0.180 0.697 0.180
13 Zn 0.180 0.697 0.443
14 Zn 0.265 0.265 0.985
15 Zn 0.265 0.985 0.265
16 Zn 0.265 0.985 0.985
17 Zn 0.303 0.557 0.820
18 Zn 0.303 0.820 0.557
19 Zn 0.303 0.820 0.820
20 Zn 0.443 0.180 0.180
21 Zn 0.443 0.180 0.697
22 Zn 0.443 0.697 0.180
23 Zn 0.500 0.000 0.000
24 Zn 0.500 0.000 0.500
25 Zn 0.500 0.500 0.000
26 Zn 0.500 0.500 0.500
27 Zn 0.557 0.303 0.820
28 Zn 0.557 0.820 0.303
29 Zn 0.557 0.820 0.820
30 Zn 0.697 0.180 0.180
31 Zn 0.697 0.180 0.443
32 Zn 0.697 0.443 0.180
33 Zn 0.735 0.015 0.015
34 Zn 0.735 0.015 0.735
35 Zn 0.735 0.735 0.015
36 Zn 0.820 0.303 0.557
37 Zn 0.820 0.303 0.820
38 Zn 0.820 0.557 0.303
39 Zn 0.820 0.557 0.820
40 Zn 0.820 0.820 0.303
41 Zn 0.820 0.820 0.557
42 Zn 0.985 0.265 0.265
43 Zn 0.985 0.265 0.985
44 Zn 0.985 0.985 0.265
45 Ag 0.375 0.375 0.375
46 Ag 0.625 0.625 0.625

***

Record 5
Diffraction record for ZnAg4. The X-ray diffraction stick pattern is simulated, not measured: it uses a cell relaxed with GGA-PBE and a wavelength of 1.5418 Å.

Principal peaks in the range 10 to 90 degrees two-theta, by intensity:
Position (°2θ)  Rel. int.
37.9  100
38.2  97
43.0  68
65.3  37
46.6  27
75.3  24
75.8  23
62.1  11

Structural model:
a b c (Å): 7.793 7.793 7.793
angles (deg): 157.89 151.02 36.75
Element x y z (fractional)
1 Zn 0.000 0.000 0.000
2 Ag 0.199 0.199 0.000
3 Ag 0.405 0.405 0.000
4 Ag 0.595 0.595 0.000
5 Ag 0.801 0.801 0.000

***

Record 6
Diffraction record for ZnAg5. The X-ray diffraction stick pattern is simulated, not measured: it uses a cell relaxed with GGA-PBE and a wavelength of 1.5418 Å.

Principal peaks in the range 10 to 90 degrees two-theta, by intensity:
Position (°2θ)  Rel. int.
40.3  100
41.0  43
38.1  38
35.3  22
70.3  18
77.4  17
64.4  15
52.9  14

Structural model:
a b c (Å): 4.729 7.605 7.605
angles (deg): 22.41 90.00 90.00
Element x y z (fractional)
1 Zn 0.000 0.000 0.000
2 Ag 0.000 0.337 0.337
3 Ag 0.000 0.663 0.663
4 Ag 0.500 0.112 0.112
5 Ag 0.500 0.449 0.449
6 Ag 0.500 0.780 0.780

***

Record 7
Diffraction record for ZnAg. The X-ray diffraction stick pattern is simulated, not measured: it uses a cell relaxed with GGA-PBE and a wavelength of 1.5418 Å.

Principal peaks in the range 10 to 90 degrees two-theta, by intensity:
Position (°2θ)  Rel. int.
46.3  100
40.2  91
35.8  88
33.6  76
49.9  36
77.3  35
28.1  33
38.2  29

Structural model:
a b c (Å): 7.232 7.232 7.232
angles (deg): 92.10 92.10 157.93
Element x y z (fractional)
1 Zn 0.091 0.362 0.453
2 Zn 0.362 0.909 0.271
3 Zn 0.638 0.091 0.729
4 Zn 0.909 0.638 0.547
5 Ag 0.106 0.829 0.934
6 Ag 0.171 0.106 0.277
7 Ag 0.829 0.894 0.723
8 Ag 0.894 0.171 0.066

***

Record 8
Diffraction record for ZnAg. The X-ray diffraction stick pattern is simulated, not measured: it uses a cell relaxed with GGA-PBE and a wavelength of 1.5418 Å.

Principal peaks in the range 10 to 90 degrees two-theta, by intensity:
Position (°2θ)  Rel. int.
38.5  100
33.4  87
51.9  81
34.3  80
48.6  57
84.5  37
74.9  25
82.9  20

Structural model:
a b c (Å): 5.229 5.229 5.369
angles (deg): 90.00 90.00 90.00
Element x y z (fractional)
1 Zn 0.184 0.184 0.000
2 Zn 0.316 0.684 0.500
3 Zn 0.684 0.316 0.500
4 Zn 0.816 0.816 0.000
5 Ag 0.189 0.189 0.500
6 Ag 0.311 0.689 0.000
7 Ag 0.689 0.311 0.000
8 Ag 0.811 0.811 0.500